Calculated powder diffractogram of Fe2Si2SbO9 for λ = 1.5418 Å (Cu Kα), from the PBE+U geometry in Alexandria.

Main lines, by angle (10 to 80 degrees two-theta):
| d_spacing | Rel. int. |
| --- | --- |
| 7.924 | 84 |
| 4.245 | 28 |
| 3.924 | 68 |
| 3.657 | 100 |
| 3.268 | 78 |
| 2.978 | 42 |
| 2.751 | 20 |
| 2.631 | 25 |
| 2.605 | 54 |
| 2.405 | 28 |
| 1.525 | 24 |
| 1.506 | 19 |

Cell and atoms:
a b c (Å): 5.239 5.239 8.085
angles (deg): 95.77 95.77 119.11
Fractional coordinates of all 14 atoms:
Fe1 0.163 0.837 0.000
Fe2 0.837 0.163 0.000
Si1 0.618 0.961 0.351
Si2 0.961 0.618 0.351
Sb1 0.419 0.419 0.749
O1 0.121 0.465 0.864
O2 0.144 0.144 0.130
O3 0.314 0.821 0.434
O4 0.465 0.121 0.864
O5 0.540 0.920 0.146
O6 0.793 0.793 0.858
O7 0.799 0.799 0.414
O8 0.821 0.314 0.434
O9 0.920 0.540 0.146